Entry 1:
# BaSm2O4
Computed PXRD pattern, a wavelength of 1.5418 Å. Input: a cell relaxed with PBE.
Lines closer than 0.1° are merged.

Cell and atoms:
Cell lengths 10.6637, 3.5791, 12.4649 Å; angles 90.00, 90.00, 90.00 degrees
Space group Pnma (No. 62)
Asymmetric unit:
Ba 0.2476 0.2500 0.1477 [4 per cell]
Sm 0.0766 0.2500 0.3887 [4 per cell]
Sm 0.0769 0.2500 0.8890 [4 per cell]
O 0.0173 0.7500 0.7828 [4 per cell]
O 0.0712 0.2500 0.5753 [4 per cell]
O 0.1190 0.7500 0.0189 [4 per cell]
O 0.2103 0.7500 0.3347 [4 per cell]

Peak list (10 most intense, 2θ = 10–90°, in order of rising 2θ)
hkl	2θ/deg	I/Imax
0 0 4	28.6	48
3 0 2	28.9	100
1 1 2	30.0	99
1 1 3	34.1	19
2 1 4	42.0	30
4 1 0	42.3	20
3 0 6	50.9	17
4 1 4	51.9	21
3 2 2	59.7	27
6 0 4	59.9	16



Entry 2:
# Ba2SmTaO6
Computed PXRD pattern, a wavelength of 1.5418 Å. Input: a cell relaxed with PBE.
Lines closer than 0.1° are merged.

Cell and atoms:
Cell lengths 8.6472, 8.6472, 8.6472 Å; angles 90.00, 90.00, 90.00 degrees
Space group Fm-3m (No. 225)
Asymmetric unit:
Ba 0.2500 0.2500 0.2500 [8 per cell]
Sm 0.0000 0.0000 0.0000 [4 per cell]
Ta 0.0000 0.0000 0.5000 [4 per cell]
O 0.0000 0.0000 0.2672 [24 per cell]

Peak list (10 most intense, 2θ = 10–90°, in order of rising 2θ)
hkl	2θ/deg	I/Imax
1 1 1	17.8	1
2 0 0	20.5	4
2 2 0	29.2	100
4 0 0	41.8	28
4 2 0	47.0	2
4 2 2	51.8	41
4 4 0	60.6	18
6 2 0	68.6	18
4 4 4	76.3	6
6 4 2	83.7	22



Entry 3:
# BaTb4SmO12
Computed PXRD pattern, a wavelength of 1.5418 Å. Input: a cell relaxed with PBE.
Lines closer than 0.1° are merged.

Cell and atoms:
Cell lengths 8.7746, 8.9845, 8.6097 Å; angles 90.00, 90.00, 90.00 degrees
Space group Amm2 (No. 38)
Asymmetric unit:
Ba 0.0000 0.0000 0.0000 [2 per cell]
Tb 0.2625 0.2284 0.6869 [8 per cell]
Sm 0.5000 0.0000 0.3819 [2 per cell]
O 0.0000 0.2144 0.7279 [4 per cell]
O 0.2133 0.2027 0.9388 [8 per cell]
O 0.2534 0.0000 0.2263 [4 per cell]
O 0.3365 0.0000 0.5976 [4 per cell]
O 0.5000 0.2099 0.2418 [4 per cell]

Peak list (10 most intense, 2θ = 10–90°, in order of rising 2θ)
hkl	2θ/deg	I/Imax
1 1 1	17.5	78
0 2 0	19.8	26
0 0 2	20.6	34
2 2 0	28.4	100
0 2 2	28.7	85
2 0 2	29.1	79
0 4 0	40.1	26
4 0 0	41.1	27
2 4 2	50.3	32
4 2 2	51.0	36



Entry 4:
# BaSm2Ti3O10
Computed PXRD pattern, a wavelength of 1.5418 Å. Input: a cell relaxed with PBE.
Lines closer than 0.1° are merged.

Cell and atoms:
Cell lengths 3.9049, 28.5599, 7.6588 Å; angles 90.00, 90.00, 90.00 degrees
Space group Cmcm (No. 63)
Asymmetric unit:
Ba 0.0000 0.2412 0.2500 [4 per cell]
Sm 0.0000 0.0724 0.2500 [4 per cell]
Sm 0.0000 0.0795 0.7500 [4 per cell]
Ti 0.0000 0.3556 0.5039 [8 per cell]
Ti 0.0000 0.5000 0.0000 [4 per cell]
O 0.0000 0.0000 0.0000 [4 per cell]
O 0.0000 0.1281 0.0073 [8 per cell]
O 0.0000 0.2945 0.5441 [8 per cell]
O 0.0000 0.3549 0.2500 [4 per cell]
O 0.0000 0.3791 0.7500 [4 per cell]
O 0.0000 0.4343 0.0600 [8 per cell]
O 0.0000 0.4810 0.7500 [4 per cell]

Peak list (10 most intense, 2θ = 10–90°, in order of rising 2θ)
hkl	2θ/deg	I/Imax
0 6 0	18.6	46
0 6 2	29.9	100
1 7 0	31.7	57
1 1 2	32.9	67
1 7 2	39.7	41
2 0 0	46.5	30
0 0 4	47.5	32
1 13 2	53.5	36
2 6 2	56.3	33
1 7 4	58.2	27



Entry 5:
# BaSnO3
Computed PXRD pattern, a wavelength of 1.5418 Å. Input: a cell relaxed with PBE.
Lines closer than 0.1° are merged.

Cell and atoms:
Cell lengths 4.1886, 4.1886, 4.1886 Å; angles 90.00, 90.00, 90.00 degrees
Space group Pm-3m (No. 221)
Asymmetric unit:
Ba 0.0000 0.0000 0.0000 [1 per cell]
Sn 0.5000 0.5000 0.5000 [1 per cell]
O 0.0000 0.5000 0.5000 [3 per cell]

Peak list (8 most intense, 2θ = 10–90°, in order of rising 2θ)
hkl	2θ/deg	I/Imax
1 1 0	30.2	100
1 1 1	37.2	2
2 0 0	43.2	30
2 1 1	53.6	41
2 2 0	62.7	19
3 1 0	71.2	19
2 2 2	79.2	7
3 2 1	87.0	23



Entry 6:
# BaSn4O7
Computed PXRD pattern, a wavelength of 1.5418 Å. Input: a cell relaxed with PBE.
Lines closer than 0.1° are merged.

Cell and atoms:
Cell lengths 7.1816, 7.1816, 13.0033 Å; angles 90.00, 90.00, 120.00 degrees
Space group P6_3mc (No. 186)
Asymmetric unit:
Ba 0.3333 0.6667 0.0000 [2 per cell]
Sn 0.0000 0.0000 0.0435 [2 per cell]
Sn 0.1685 0.3369 0.7680 [6 per cell]
O 0.0000 0.0000 0.3013 [2 per cell]
O 0.0601 0.5301 0.8303 [6 per cell]
O 0.1527 0.3055 0.6158 [6 per cell]

Peak list (10 most intense, 2θ = 10–90°, in order of rising 2θ)
hkl	2θ/deg	I/Imax
1 0 0	14.2	31
1 0 1	15.8	100
0 0 4	27.4	45
1 1 2	28.4	97
2 0 1	29.5	91
2 0 3	35.5	47
3 0 2	45.9	28
2 2 0	50.9	39
2 0 7	57.8	25
2 2 4	58.7	37



Entry 7:
# Ba3SnO
Computed PXRD pattern, a wavelength of 1.5418 Å. Input: a cell relaxed with PBE.
Lines closer than 0.1° are merged.

Cell and atoms:
Cell lengths 5.5257, 5.5257, 5.5257 Å; angles 90.00, 90.00, 90.00 degrees
Space group Pm-3m (No. 221)
Asymmetric unit:
Ba 0.0000 0.0000 0.5000 [3 per cell]
Sn 0.5000 0.5000 0.5000 [1 per cell]
O 0.0000 0.0000 0.0000 [1 per cell]

Peak list (10 most intense, 2θ = 10–90°, in order of rising 2θ)
hkl	2θ/deg	I/Imax
1 0 0	16.0	1
1 1 1	28.0	100
2 0 0	32.4	58
2 2 0	46.5	42
3 1 1	55.1	46
2 2 2	57.8	15
4 0 0	67.8	7
3 3 1	74.9	19
4 2 0	77.2	19
4 2 2	86.2	15



Entry 8:
# BaSn4O8
Computed PXRD pattern, a wavelength of 1.5418 Å. Input: a cell relaxed with PBE.
Lines closer than 0.1° are merged.

Cell and atoms:
Cell lengths 6.0855, 6.0855, 7.6631 Å; angles 90.00, 90.00, 120.00 degrees
Space group P-31m (No. 162)
Asymmetric unit:
Ba 0.0000 0.0000 0.0000 [1 per cell]
Sn 0.3333 0.6667 0.2598 [4 per cell]
O 0.0000 0.3369 0.2879 [6 per cell]
O 0.3333 0.6667 0.0000 [2 per cell]

Peak list (10 most intense, 2θ = 10–90°, in order of rising 2θ)
hkl	2θ/deg	I/Imax
1 0 1	20.5	22
0 0 2	23.2	28
1 0 2	28.8	74
1 1 0	29.4	100
2 -1 2	37.8	22
2 0 2	41.6	27
3 -1 2	51.7	30
3 0 0	52.1	31
2 -1 4	56.8	33
3 0 4	73.1	19



Entry 9:
# Ba3Sn2O7
Computed PXRD pattern, a wavelength of 1.5418 Å. Input: a cell relaxed with PBE.
Lines closer than 0.1° are merged.

Cell and atoms:
Cell lengths 21.7531, 5.9519, 5.9405 Å; angles 90.00, 90.00, 90.00 degrees
Space group Cmcm (No. 63)
Asymmetric unit:
Ba 0.0000 0.2489 0.2500 [4 per cell]
Ba 0.1849 0.2530 0.2500 [8 per cell]
Sn 0.0963 0.2501 0.7500 [8 per cell]
O 0.0000 0.2274 0.7500 [4 per cell]
O 0.0916 0.5000 0.0000 [8 per cell]
O 0.0992 0.0000 0.0000 [8 per cell]
O 0.1918 0.2660 0.7500 [8 per cell]

Peak list (10 most intense, 2θ = 10–90°, in order of rising 2θ)
hkl	2θ/deg	I/Imax
5 1 1	29.5	100
0 0 2	30.1	59
10 0 0	41.5	13
0 2 2	43.0	32
10 0 2	52.1	17
5 3 1	53.1	41
10 2 2	61.3	15
5 3 3	70.6	9
0 2 4	70.9	11
10 2 4	85.6	9